Simulated powder diffractogram
Compound: CuTeP2O8
Radiation: Cu Kα, 1.54184 Å
Structure: a cell relaxed with GGA-PBE
Lines closer than 0.1° are merged.

```
data_CuTeP2O8
_cell_length_a 4.8522
_cell_length_b 6.5274
_cell_length_c 9.8313
_cell_angle_alpha 90.00
_cell_angle_beta 96.87
_cell_angle_gamma 90.00
_symmetry_space_group_name_H-M 'P 1 21/m 1'
_symmetry_Int_Tables_number 11
loop_
_symmetry_equiv_pos_as_xyz
'x,y,z'
'-x,-y,-z'
'-x,y+1/2,-z'
'x,-y+1/2,z'
loop_
_atom_site_label
_atom_site_type_symbol
_atom_site_fract_x
_atom_site_fract_y
_atom_site_fract_z
Cu1 Cu 0.1170 0.2500 0.2183
Te1 Te 0.4191 0.2500 0.6982
P1 P 0.1035 0.7500 0.0988
P2 P 0.3440 0.7500 0.5941
O1 O 0.1262 0.7500 0.9468
O2 O 0.2025 0.2500 0.8740
O3 O 0.2244 0.5620 0.6647
O4 O 0.2535 0.7500 0.4363
O5 O 0.2780 0.5674 0.1760
O6 O 0.3346 0.2500 0.3907
```

Most intense lines, 15 to 90 degrees two-theta, in order of rising 2θ:
d [Å]	intensity	h k l
4.880	72	0 0 2
3.728	54	1 1 -1
3.654	38	1 0 -2
3.489	48	1 1 1
3.263	100	0 2 0
2.902	42	1 1 2

Simulated powder diffractogram
Compound: Th2CuP3O12
Radiation: Cu Kα, 1.54184 Å
Structure: a cell relaxed with GGA-PBE
Lines closer than 0.1° are merged.

```
data_Th2CuP3O12
_cell_length_a 22.0805
_cell_length_b 6.7921
_cell_length_c 7.1219
_cell_angle_alpha 90.00
_cell_angle_beta 107.11
_cell_angle_gamma 90.00
_symmetry_space_group_name_H-M 'C 1 2/c 1'
_symmetry_Int_Tables_number 15
loop_
_symmetry_equiv_pos_as_xyz
'x,y,z'
'-x,-y,-z'
'-x,y,-z+1/2'
'x,-y,z+1/2'
'x+1/2,y+1/2,z'
'-x+1/2,-y+1/2,-z'
'-x+1/2,y+1/2,-z+1/2'
'x+1/2,-y+1/2,z+1/2'
loop_
_atom_site_label
_atom_site_type_symbol
_atom_site_fract_x
_atom_site_fract_y
_atom_site_fract_z
Th1 Th 0.1399 0.1464 0.1569
Cu1 Cu 0.0000 0.5000 0.0000
P1 P 0.0000 0.1410 0.7500
P2 P 0.1815 0.3173 0.6949
O1 O 0.0353 0.2766 0.9271
O2 O 0.0522 0.0134 0.7115
O3 O 0.1459 0.4859 0.1777
O4 O 0.1529 0.1849 0.5081
O5 O 0.1705 0.1871 0.8621
O6 O 0.2478 0.1482 0.2758
```

Most intense lines, 15 to 90 degrees two-theta, in order of rising 2θ:
d [Å]	intensity	h k l
5.276	71	4 0 0
4.886	63	3 1 0
4.420	100	3 1 -1
3.559	85	2 0 -2
3.517	51	6 0 0
2.908	55	6 0 -2

Simulated powder diffractogram
Compound: TiCuP2O8
Radiation: Cu Kα, 1.54184 Å
Structure: a cell relaxed with GGA-PBE
Lines closer than 0.1° are merged.

```
data_TiCuP2O8
_cell_length_a 8.6175
_cell_length_b 8.6175
_cell_length_c 20.8592
_cell_angle_alpha 90.00
_cell_angle_beta 90.00
_cell_angle_gamma 120.00
_symmetry_space_group_name_H-M 'R 3'
_symmetry_Int_Tables_number 146
_symmetry_space_group_name_Hall 'R 3'
loop_
_atom_site_label
_atom_site_type_symbol
_atom_site_fract_x
_atom_site_fract_y
_atom_site_fract_z
Ti1 Ti 0.0000 0.0000 0.0000
Ti2 Ti 0.0000 0.0000 0.2142
Ti3 Ti 0.0000 0.0000 0.5014
Cu1 Cu 0.0000 0.0000 0.3566
Cu2 Cu 0.0000 0.0000 0.7142
Cu3 Cu 0.0000 0.0000 0.8562
P1 P 0.0008 0.2923 0.6092
P2 P 0.0400 0.6676 0.7741
O1 O 0.9996 0.8105 0.0469
O2 O 0.0094 0.1802 0.2770
O3 O 0.0132 0.8195 0.1668
O4 O 0.0291 0.8392 0.7826
O5 O 0.1332 0.4632 0.3378
O6 O 0.1487 0.4784 0.2155
O7 O 0.1675 0.6844 0.1019
O8 O 0.1731 0.4804 0.6013
```

Most intense lines, 15 to 90 degrees two-theta, in order of rising 2θ:
d [Å]	intensity	h k l
4.309	89	1 1 0
3.663	100	1 1 3
2.706	76	1 1 6
2.488	38	3 0 0
1.915	34	1 2 8
1.831	28	4 -2 6